(1)
The following is a calculated X-ray diffraction stick pattern of KInTe2O6. It was derived from a PBE-relaxed structure, using Cu Kα X-rays.
Neutral-atom scattering factors, no anomalous dispersion.

Most intense lines, 10 to 80 degrees two-theta, by angle:
2θ 12.32, intensity 186; 2θ 19.84, intensity 178; 2θ 24.79, intensity 437; 2θ 26.88, intensity 353; 2θ 29.06, intensity 1000; 2θ 30.10, intensity 384; 2θ 30.27, intensity 559; 2θ 35.88, intensity 201; 2θ 52.81, intensity 183; 2θ 55.41, intensity 176

Crystal structure
```
data_KInTe2O6
_chemical_formula_sum 'K4 In4 Te8 O24'
_space_group_name_H-M_alt 'P n m a'
_space_group_IT_number 62
_space_group_name_Hall '-P 2ac 2n'
_cell_length_a 13.611
_cell_length_b 5.938
_cell_length_c 8.457
_cell_angle_alpha 90.00
_cell_angle_beta 90.00
_cell_angle_gamma 90.00
loop_
_atom_site_label
_atom_site_type_symbol
_atom_site_fract_x
_atom_site_fract_y
_atom_site_fract_z
_atom_site_occupancy
K1 K 0.130 0.250 0.004 1
In1 In 0.094 0.750 0.289 1
Te1 Te 0.074 0.750 0.713 1
Te2 Te 0.197 0.250 0.510 1
O1 O 0.006 0.507 0.806 1
O2 O 0.013 0.750 0.511 1
O3 O 0.165 0.750 0.053 1
O4 O 0.202 0.005 0.366 1
```

---

(2)
The following is a calculated X-ray diffraction stick pattern of K3InP2. It was derived from a PBE-relaxed structure, using Cu Kα X-rays.
Neutral-atom scattering factors, no anomalous dispersion.

Most intense lines, 10 to 80 degrees two-theta, by angle:
2θ 12.12, intensity 828; 2θ 12.99, intensity 1000; 2θ 26.14, intensity 641; 2θ 28.67, intensity 528; 2θ 30.03, intensity 338; 2θ 33.81, intensity 355; 2θ 33.95, intensity 201; 2θ 34.95, intensity 601; 2θ 35.85, intensity 344; 2θ 37.12, intensity 231

Crystal structure
```
data_K3InP2
_chemical_formula_sum 'K12 In4 P8'
_space_group_name_H-M_alt 'I b a m'
_space_group_IT_number 72
_space_group_name_Hall '-I 2 2c'
_cell_length_a 7.709
_cell_length_b 14.608
_cell_length_c 6.884
_cell_angle_alpha 90.00
_cell_angle_beta 90.00
_cell_angle_gamma 90.00
loop_
_atom_site_label
_atom_site_type_symbol
_atom_site_fract_x
_atom_site_fract_y
_atom_site_fract_z
_atom_site_occupancy
K1 K 0.000 0.000 0.250 1
K2 K 0.201 0.316 0.000 1
In1 In 0.000 0.500 0.250 1
P1 P 0.190 0.403 0.500 1
```

---

(3)
The following is a calculated X-ray diffraction stick pattern of K6InP3. It was derived from a PBE-relaxed structure, using Cu Kα X-rays.
Neutral-atom scattering factors, no anomalous dispersion.

Most intense lines, 10 to 80 degrees two-theta, by angle:
2θ 11.93, intensity 588; 2θ 12.85, intensity 899; 2θ 18.40, intensity 700; 2θ 29.31, intensity 793; 2θ 30.16, intensity 849; 2θ 31.42, intensity 721; 2θ 31.95, intensity 911; 2θ 34.26, intensity 954; 2θ 34.46, intensity 1000; 2θ 35.13, intensity 771

Crystal structure
```
data_K6InP3
_chemical_formula_sum 'K12 In2 P6'
_space_group_name_H-M_alt 'P -1'
_space_group_IT_number 2
_space_group_name_Hall '-P 1'
_cell_length_a 8.890
_cell_length_b 8.941
_cell_length_c 10.093
_cell_angle_alpha 82.47
_cell_angle_beta 72.87
_cell_angle_gamma 61.43
loop_
_atom_site_label
_atom_site_type_symbol
_atom_site_fract_x
_atom_site_fract_y
_atom_site_fract_z
_atom_site_occupancy
K1 K 0.040 0.227 0.394 1
K2 K 0.168 0.450 0.104 1
K3 K 0.169 0.810 0.889 1
K4 K 0.366 0.489 0.362 1
K5 K 0.368 0.876 0.494 1
K6 K 0.408 0.854 0.108 1
In1 In 0.238 0.178 0.750 1
P1 P 0.040 0.830 0.262 1
P2 P 0.269 0.450 0.742 1
P3 P 0.485 0.113 0.242 1
```

---

(4)
The following is a calculated X-ray diffraction stick pattern of K6InP3. It was derived from a PBE-relaxed structure, using Cu Kα X-rays.
Neutral-atom scattering factors, no anomalous dispersion.

Most intense lines, 10 to 80 degrees two-theta, by angle:
2θ 11.69, intensity 552; 2θ 12.95, intensity 736; 2θ 14.59, intensity 628; 2θ 18.56, intensity 420; 2θ 27.45, intensity 504; 2θ 29.35, intensity 711; 2θ 30.24, intensity 619; 2θ 31.80, intensity 506; 2θ 34.27, intensity 1000; 2θ 34.54, intensity 628

Crystal structure
```
data_K6InP3
_chemical_formula_sum 'K12 In2 P6'
_space_group_name_H-M_alt 'P 1'
_space_group_IT_number 1
_space_group_name_Hall 'P 1'
_cell_length_a 9.010
_cell_length_b 9.028
_cell_length_c 10.004
_cell_angle_alpha 81.76
_cell_angle_beta 72.92
_cell_angle_gamma 60.49
loop_
_atom_site_label
_atom_site_type_symbol
_atom_site_fract_x
_atom_site_fract_y
_atom_site_fract_z
_atom_site_occupancy
K1 K 0.000 0.000 0.000 1
K2 K 0.009 0.666 0.892 1
K3 K 0.022 0.020 0.609 1
K4 K 0.155 0.316 0.407 1
K5 K 0.339 0.251 0.057 1
K6 K 0.383 0.429 0.602 1
K7 K 0.498 0.748 0.385 1
K8 K 0.513 0.784 0.017 1
K9 K 0.634 0.390 0.860 1
K10 K 0.732 0.062 0.377 1
K11 K 0.783 0.686 0.611 1
K12 K 0.876 0.373 0.151 1
In1 In 0.181 0.700 0.252 1
In2 In 0.348 0.051 0.746 1
P1 P 0.051 0.324 0.769 1
P2 P 0.151 0.000 0.261 1
P3 P 0.360 0.760 0.742 1
P4 P 0.477 0.433 0.240 1
P5 P 0.626 0.054 0.758 1
P6 P 0.916 0.677 0.239 1
```

---

(5)
The following is a calculated X-ray diffraction stick pattern of K2InP2S7. It was derived from a PBE-relaxed structure, using Cu Kα X-rays.
Neutral-atom scattering factors, no anomalous dispersion.

Most intense lines, 10 to 80 degrees two-theta, by angle:
2θ 10.62, intensity 638; 2θ 12.81, intensity 677; 2θ 13.66, intensity 716; 2θ 20.41, intensity 297; 2θ 25.42, intensity 207; 2θ 26.73, intensity 397; 2θ 29.57, intensity 373; 2θ 31.60, intensity 1000; 2θ 32.23, intensity 406; 2θ 50.53, intensity 227

Crystal structure
```
data_K2InP2S7
_chemical_formula_sum 'K8 In4 P8 S28'
_space_group_name_H-M_alt 'C 1 2/m 1'
_space_group_IT_number 12
_space_group_name_Hall '-C 2y'
_cell_length_a 14.654
_cell_length_b 10.768
_cell_length_c 8.835
_cell_angle_alpha 90.00
_cell_angle_beta 109.45
_cell_angle_gamma 90.00
loop_
_atom_site_label
_atom_site_type_symbol
_atom_site_fract_x
_atom_site_fract_y
_atom_site_fract_z
_atom_site_occupancy
K1 K 0.170 0.218 0.159 1
In1 In 0.000 0.311 0.500 1
P1 P 0.060 0.000 0.441 1
P2 P 0.110 0.500 0.815 1
S1 S 0.006 0.000 0.203 1
S2 S 0.031 0.339 0.804 1
S3 S 0.139 0.500 0.595 1
S4 S 0.142 0.156 0.534 1
S5 S 0.230 0.500 0.010 1
```

---

(6)
The following is a calculated X-ray diffraction stick pattern of K2InP2Se8. It was derived from a PBE-relaxed structure, using Cu Kα X-rays.
Neutral-atom scattering factors, no anomalous dispersion.

Most intense lines, 10 to 80 degrees two-theta, by angle:
2θ 10.47, intensity 1000; 2θ 14.37, intensity 462; 2θ 27.23, intensity 388; 2θ 27.40, intensity 411; 2θ 28.33, intensity 317; 2θ 30.01, intensity 332; 2θ 30.83, intensity 230; 2θ 31.68, intensity 267; 2θ 31.74, intensity 282; 2θ 32.94, intensity 334

Crystal structure
```
data_K2InP2Se8
_chemical_formula_sum 'K16 In8 P16 Se64'
_space_group_name_H-M_alt 'C 1 c 1'
_space_group_IT_number 9
_space_group_name_Hall 'C -2yc'
_cell_length_a 11.394
_cell_length_b 23.203
_cell_length_c 13.038
_cell_angle_alpha 90.00
_cell_angle_beta 109.05
_cell_angle_gamma 90.00
loop_
_atom_site_label
_atom_site_type_symbol
_atom_site_fract_x
_atom_site_fract_y
_atom_site_fract_z
_atom_site_occupancy
K1 K 0.000 0.054 0.000 1
K2 K 0.110 0.441 0.554 1
K3 K 0.138 0.300 0.829 1
K4 K 0.203 0.199 0.305 1
In1 In 0.041 0.378 0.173 1
In2 In 0.179 0.118 0.666 1
P1 P 0.342 0.417 0.116 1
P2 P 0.356 0.266 0.652 1
P3 P 0.367 0.026 0.188 1
P4 P 0.382 0.337 0.225 1
Se1 Se 0.054 0.487 0.270 1
Se2 Se 0.080 0.151 0.829 1
Se3 Se 0.143 0.409 0.014 1
Se4 Se 0.166 0.231 0.579 1
Se5 Se 0.208 0.003 0.739 1
Se6 Se 0.266 0.349 0.333 1
Se7 Se 0.306 0.095 0.515 1
Se8 Se 0.311 0.007 0.005 1
Se9 Se 0.344 0.260 0.126 1
Se10 Se 0.367 0.360 0.669 1
Se11 Se 0.378 0.120 0.181 1
Se12 Se 0.386 0.494 0.216 1
Se13 Se 0.419 0.143 0.825 1
Se14 Se 0.420 0.245 0.834 1
Se15 Se 0.452 0.403 0.005 1
Se16 Se 0.495 0.232 0.582 1
```